(1)
# Hf2ScRh3
Calculated XRD peak list, a wavelength of 1.5418 Å. Input: a PBE-relaxed structure.
Lines closer than 0.1° are merged.

Structural model:
Lattice parameters (Å, degrees): 4.6113 4.6113 11.2622 90.00 90.00 120.00
Space group P-3m1 (No. 164)
Symmetry-distinct sites (fractional):
1 Hf 0.0000 0.0000 0.0000
2 Hf 0.0000 0.0000 0.5000
3 Hf 0.3333 0.6667 0.1696
4 Sc 0.3333 0.6667 0.6659
5 Rh 0.0000 0.0000 0.2481
6 Rh 0.3333 0.6667 0.4172
7 Rh 0.3333 0.6667 0.9194

Peak list (12 most intense, 10 to 80 degrees two-theta, by angle)
Position (°2θ), intensity, h k l
15.74, 1.2, 0 0 2
22.26, 1.7, 1 0 0
23.65, 9.8, 1 0 1
27.38, 2.6, 0 1 2
39.11, 100.0, 1 1 0
46.19, 3.6, 0 2 1
46.28, 1.3, 0 1 5
56.50, 17.0, 0 2 4
62.06, 1.8, 2 0 5
70.81, 25.6, 3 0 0
70.99, 8.6, 0 1 8
75.85, 1.2, 1 2 5


(2)
# Hf3ScRh6
Calculated XRD peak list, a wavelength of 1.5418 Å. Input: a PBE-relaxed structure.
Lines closer than 0.1° are merged.

Structural model:
Lattice parameters (Å, degrees): 7.7669 4.6024 9.8413 90.00 109.42 90.00
Space group P2_1/m (No. 11)
Symmetry-distinct sites (fractional):
1 Hf 0.0213 0.2500 0.3818
2 Hf 0.1331 0.7500 0.1976
3 Hf 0.3013 0.2500 0.9899
4 Sc 0.4441 0.2500 0.5934
5 Rh 0.0476 0.7500 0.9114
6 Rh 0.1565 0.2500 0.6838
7 Rh 0.2452 0.7500 0.4950
8 Rh 0.3397 0.2500 0.2957
9 Rh 0.3532 0.7500 0.8171
10 Rh 0.4258 0.7500 0.1280

Peak list (12 most intense, 10 to 80 degrees two-theta, by angle)
Position (°2θ), intensity, h k l
12.08, 12.7, 1 0 0
38.41, 47.9, 2 0 -4
39.15, 58.6, 0 2 0
40.04, 86.7, 3 1 -1
40.30, 100.0, 1 1 3
43.31, 11.5, 2 1 -4
56.00, 31.7, 2 2 -4
60.17, 12.0, 4 0 2
70.92, 14.3, 1 1 -7
71.54, 15.4, 3 3 -1
71.72, 18.2, 1 3 3
74.16, 12.0, 4 2 2


(3)
# HfSi3Rh3
Calculated XRD peak list, a wavelength of 1.5418 Å. Input: a PBE-relaxed structure.
Lines closer than 0.1° are merged.

Structural model:
Lattice parameters (Å, degrees): 6.3994 6.3994 6.3994 90.00 90.00 90.00
Space group Pm-3n (No. 223)
Symmetry-distinct sites (fractional):
1 Hf 0.0000 0.0000 0.0000
2 Si 0.0000 0.2500 0.5000
3 Rh 0.0000 0.5000 0.2500

Peak list (12 most intense, 10 to 80 degrees two-theta, by angle)
Position (°2θ), intensity, h k l
19.62, 2.8, 1 1 0
27.88, 43.4, 2 0 0
31.25, 31.7, 2 1 0
34.33, 100.0, 2 1 1
44.79, 0.9, 3 1 0
49.33, 6.1, 2 2 2
51.49, 7.8, 3 2 0
53.58, 55.8, 3 2 1
57.62, 19.3, 4 0 0
65.20, 15.4, 4 2 0
67.02, 6.9, 4 2 1
68.81, 13.1, 3 3 2


(4)
# SmHfTcRh
Calculated XRD peak list, a wavelength of 1.5418 Å. Input: a PBE-relaxed structure.
Lines closer than 0.1° are merged.

Structural model:
Lattice parameters (Å, degrees): 6.7339 6.7339 6.7339 90.00 90.00 90.00
Space group F-43m (No. 216)
Symmetry-distinct sites (fractional):
1 Sm 0.0000 0.0000 0.0000
2 Hf 0.0000 0.0000 0.5000
3 Tc 0.2500 0.2500 0.7500
4 Rh 0.2500 0.2500 0.2500

Peak list (7 most intense, 10 to 80 degrees two-theta, by angle)
Position (°2θ), intensity, h k l
22.87, 0.6, 1 1 1
26.47, 6.1, 2 0 0
37.79, 100.0, 2 2 0
46.73, 1.9, 2 2 2
54.51, 17.3, 4 0 0
61.59, 2.6, 4 2 0
68.23, 34.9, 4 2 2


(5)
# HfSnRh4
Calculated XRD peak list, a wavelength of 1.5418 Å. Input: a PBE-relaxed structure.
Lines closer than 0.1° are merged.

Structural model:
Lattice parameters (Å, degrees): 4.2784 4.2784 6.1513 90.00 90.00 90.00
Space group P4/mmm (No. 123)
Symmetry-distinct sites (fractional):
1 Hf 0.0000 0.0000 0.0000
2 Sn 0.5000 0.5000 0.5000
3 Rh 0.0000 0.5000 0.2468

Peak list (12 most intense, 10 to 80 degrees two-theta, by angle)
Position (°2θ), intensity, h k l
25.36, 64.1, 1 0 1
29.53, 4.1, 1 1 0
41.89, 100.0, 1 1 2
42.25, 48.8, 2 0 0
49.28, 10.8, 1 0 3
49.92, 20.9, 2 1 1
60.17, 8.5, 0 0 4
61.28, 16.2, 2 2 0
66.88, 8.8, 2 1 3
67.41, 4.3, 3 0 1
76.25, 17.0, 2 0 4
77.00, 33.2, 3 1 2


(6)
# HfSnRh4
Calculated XRD peak list, a wavelength of 1.5418 Å. Input: a PBE-relaxed structure.
Lines closer than 0.1° are merged.

Structural model:
Lattice parameters (Å, degrees): 9.4239 3.6975 5.8938 90.00 108.99 90.00
Space group C2/m (No. 12)
Symmetry-distinct sites (fractional):
1 Hf 0.0000 0.0000 0.0000
2 Sn 0.0000 0.0000 0.5000
3 Rh 0.1575 0.5000 0.3243
4 Rh 0.1634 0.5000 0.8272

Peak list (12 most intense, 10 to 80 degrees two-theta, by angle)
Position (°2θ), intensity, h k l
38.89, 100.0, 3 1 0
39.09, 99.4, 1 1 -2
42.94, 38.0, 4 0 -2
43.55, 35.9, 2 0 2
49.29, 25.5, 0 2 0
63.10, 12.0, 2 0 -4
67.40, 19.8, 4 2 -2
67.85, 19.1, 2 2 2
75.84, 13.8, 7 1 -2
76.23, 14.0, 5 1 -4
76.70, 13.0, 5 1 2
77.08, 13.2, 1 1 4


(7)
# HfTaRh5
Calculated XRD peak list, a wavelength of 1.5418 Å. Input: a PBE-relaxed structure.
Lines closer than 0.1° are merged.

Structural model:
Lattice parameters (Å, degrees): 3.9874 3.9874 7.3203 90.00 90.00 90.00
Space group P4/mmm (No. 123)
Symmetry-distinct sites (fractional):
1 Hf 0.0000 0.0000 0.0000
2 Ta 0.5000 0.5000 0.5000
3 Rh 0.0000 0.0000 0.5000
4 Rh 0.0000 0.5000 0.2450

Peak list (12 most intense, 10 to 80 degrees two-theta, by angle)
Position (°2θ), intensity, h k l
12.09, 5.7, 0 0 1
22.30, 3.3, 1 0 0
25.44, 26.4, 1 0 1
34.08, 3.0, 1 1 1
40.38, 100.0, 1 1 2
43.48, 6.5, 1 0 3
45.50, 35.6, 2 0 0
49.83, 13.5, 0 0 4
52.84, 7.5, 2 1 1
64.75, 4.1, 2 1 3
66.30, 11.4, 2 2 0
69.75, 19.5, 2 0 4


(8)
# HfTiRh2
Calculated XRD peak list, a wavelength of 1.5418 Å. Input: a PBE-relaxed structure.
Lines closer than 0.1° are merged.

Structural model:
Lattice parameters (Å, degrees): 6.0119 9.5732 4.5339 90.00 90.00 90.00
Space group Cmcm (No. 63)
Symmetry-distinct sites (fractional):
1 Hf 0.0000 0.1387 0.2500
2 Ti 0.0000 0.3723 0.7500
3 Rh 0.2446 0.3933 0.2500

Peak list (12 most intense, 10 to 80 degrees two-theta, by angle)
Position (°2θ), intensity, h k l
17.42, 12.1, 1 1 0
26.32, 18.8, 1 1 1
31.75, 6.9, 1 3 0
37.58, 30.6, 0 4 0
39.76, 27.7, 0 0 2
40.65, 100.0, 2 2 1
55.86, 17.3, 0 4 2
61.72, 7.5, 4 0 0
69.90, 14.2, 2 6 1
72.77, 17.4, 2 2 3
74.56, 7.2, 4 4 0
75.97, 8.0, 4 0 2


What did the third record say?
# HfSi3Rh3
Calculated XRD peak list, a wavelength of 1.5418 Å. Input: a PBE-relaxed structure.
Lines closer than 0.1° are merged.

Structural model:
Lattice parameters (Å, degrees): 6.3994 6.3994 6.3994 90.00 90.00 90.00
Space group Pm-3n (No. 223)
Symmetry-distinct sites (fractional):
1 Hf 0.0000 0.0000 0.0000
2 Si 0.0000 0.2500 0.5000
3 Rh 0.0000 0.5000 0.2500

Peak list (12 most intense, 10 to 80 degrees two-theta, by angle)
Position (°2θ), intensity, h k l
19.62, 2.8, 1 1 0
27.88, 43.4, 2 0 0
31.25, 31.7, 2 1 0
34.33, 100.0, 2 1 1
44.79, 0.9, 3 1 0
49.33, 6.1, 2 2 2
51.49, 7.8, 3 2 0
53.58, 55.8, 3 2 1
57.62, 19.3, 4 0 0
65.20, 15.4, 4 2 0
67.02, 6.9, 4 2 1
68.81, 13.1, 3 3 2